[1]
Computed X-ray diffraction stick pattern
Compound: CaEuAlBiO6
Radiation: Cu Ka
Structure: a GGA-PBE-relaxed structure
Peak positions follow from Bragg's law for the DFT cell and can differ from measured ones.

Principal peaks in the range 10° ≤ 2θ ≤ 90°, by intensity:
d [Å], 2θ (°), I/Imax
2.862, 31.25, 100.0
4.673, 18.99, 56.5
1.652, 55.62, 40.3
2.441, 36.83, 37.7
2.024, 44.79, 32.1
1.431, 65.20, 19.7
1.857, 49.06, 18.3
1.280, 74.08, 18.1
1.558, 59.32, 12.4
1.368, 68.59, 12.3

```
data_CaEuAlBiO6
_cell_length_a 8.095
_cell_length_b 8.095
_cell_length_c 8.095
_cell_angle_alpha 90.00
_cell_angle_beta 90.00
_cell_angle_gamma 90.00
_symmetry_space_group_name_H-M 'F -4 3 m'
_symmetry_Int_Tables_number 216
_symmetry_space_group_name_Hall 'F -4 2 3'
loop_
_atom_site_label
_atom_site_type_symbol
_atom_site_fract_x
_atom_site_fract_y
_atom_site_fract_z
Ca1 Ca 0.000 0.000 0.000
Eu1 Eu 0.000 0.000 0.500
Al1 Al 0.250 0.250 0.750
Bi1 Bi 0.250 0.250 0.250
O1 O 0.012 0.250 0.750
```

[2]
Computed X-ray diffraction stick pattern
Compound: Hf3Sc
Radiation: Cu Ka
Structure: a GGA-PBE-relaxed structure
Peak positions follow from Bragg's law for the DFT cell and can differ from measured ones.

Principal peaks in the range 10° ≤ 2θ ≤ 90°, by intensity:
d [Å], 2θ (°), I/Imax
2.441, 36.81, 100.0
2.537, 35.38, 24.8
2.785, 32.14, 24.0
1.358, 69.17, 21.1
1.446, 64.45, 19.5
1.608, 57.30, 18.6
3.751, 23.72, 15.9
1.343, 70.07, 15.2
1.876, 48.54, 15.2
3.216, 27.74, 7.2

```
data_Hf3Sc
_cell_length_a 6.4317
_cell_length_b 6.4317
_cell_length_c 5.0743
_cell_angle_alpha 90.00
_cell_angle_beta 90.00
_cell_angle_gamma 120.00
_symmetry_space_group_name_H-M 'P 63/m m c'
_symmetry_Int_Tables_number 194
_symmetry_space_group_name_Hall '-P 6c 2c'
loop_
_atom_site_label
_atom_site_type_symbol
_atom_site_fract_x
_atom_site_fract_y
_atom_site_fract_z
Hf1 Hf 0.1670 0.3339 0.2500
Sc1 Sc 0.3333 0.6667 0.7500
```

[3]
Computed X-ray diffraction stick pattern
Compound: CsH3Se2O8
Radiation: Cu Ka
Structure: a GGA-PBE-relaxed structure
Peak positions follow from Bragg's law for the DFT cell and can differ from measured ones.

Principal peaks in the range 10° ≤ 2θ ≤ 90°, by intensity:
d [Å], 2θ (°), I/Imax
3.953, 22.49, 100.0
4.101, 21.67, 90.9
2.974, 30.05, 73.8
4.520, 19.64, 62.3
4.288, 20.72, 51.0
3.622, 24.58, 40.3
2.958, 30.22, 38.8
3.417, 26.08, 29.2
2.572, 34.89, 20.8
5.418, 16.36, 17.0

```
data_CsH3Se2O8
_cell_length_a 8.201
_cell_length_b 13.535
_cell_length_c 9.041
_cell_angle_alpha 90.00
_cell_angle_beta 90.23
_cell_angle_gamma 90.00
_symmetry_space_group_name_H-M 'P 1 21/c 1'
_symmetry_Int_Tables_number 14
loop_
_symmetry_equiv_pos_as_xyz
'x,y,z'
'-x,-y,-z'
'-x,y+1/2,-z+1/2'
'x,-y+1/2,z+1/2'
loop_
_atom_site_label
_atom_site_type_symbol
_atom_site_fract_x
_atom_site_fract_y
_atom_site_fract_z
Cs1 Cs 0.240 0.077 0.202
H1 H 0.036 0.634 0.583
H2 H 0.208 0.650 0.881
H3 H 0.335 0.547 0.126
Se1 Se 0.242 0.688 0.331
Se2 Se 0.272 0.116 0.675
O1 O 0.057 0.082 0.734
O2 O 0.062 0.092 0.895
O3 O 0.073 0.685 0.232
O4 O 0.222 0.652 0.504
O5 O 0.245 0.201 0.548
O6 O 0.303 0.010 0.560
O7 O 0.304 0.684 0.841
O8 O 0.400 0.635 0.248
```